TlHg5Cl11: theoretical powder X-ray diffraction pattern (Cu Kα), based on a crystal structure in the Materials Project, relaxed with GGA-PBE.
Lines closer than 0.1° are merged.

Largest 6 diffraction maxima, low angle first, 10° ≤ 2θ ≤ 90°:
14.6°, intensity 54; 19.3°, intensity 42; 20.3°, intensity 51; 22.4°, intensity 59; 29.1°, intensity 100; 29.2°, intensity 48

Structural model:
Cell: 9.640 9.640 6.689 Å, 107.73 107.73 100.83°
Atoms (fractional coordinates):
Tl1 0.000 0.000 0.000
Hg1 0.017 0.348 0.683
Hg2 0.348 0.017 0.683
Hg3 0.500 0.500 0.000
Hg4 0.652 0.983 0.317
Hg5 0.983 0.652 0.317
Cl1 0.000 0.000 0.500
Cl2 0.135 0.705 0.696
Cl3 0.166 0.414 0.066
Cl4 0.295 0.865 0.304
Cl5 0.354 0.354 0.616
Cl6 0.414 0.166 0.066
Cl7 0.586 0.834 0.934
Cl8 0.646 0.646 0.384
Cl9 0.705 0.135 0.696
Cl10 0.834 0.586 0.934
Cl11 0.865 0.295 0.304

***

HoCl2: theoretical powder X-ray diffraction pattern (Cu Kα), based on a crystal structure in the Materials Project, relaxed with GGA-PBE.
Lines closer than 0.1° are merged.

Largest 6 diffraction maxima, low angle first, 10° ≤ 2θ ≤ 90°:
18.3°, intensity 100; 28.9°, intensity 53; 37.0°, intensity 31; 39.2°, intensity 65; 41.6°, intensity 22; 47.6°, intensity 24

Structural model:
Cell: 6.871 6.871 3.459 Å, 90.00 90.00 90.00°
Atoms (fractional coordinates):
Ho1 0.000 0.000 0.000
Ho2 0.500 0.500 0.500
Cl1 0.220 0.220 0.500
Cl2 0.280 0.720 0.000
Cl3 0.720 0.280 0.000
Cl4 0.780 0.780 0.500

***

HoCl3: theoretical powder X-ray diffraction pattern (Cu Kα), based on a crystal structure in the Materials Project, relaxed with GGA-PBE.
Lines closer than 0.1° are merged.

Largest 6 diffraction maxima, low angle first, 10° ≤ 2θ ≤ 90°:
10.3°, intensity 100; 17.9°, intensity 71; 20.7°, intensity 32; 32.5°, intensity 48; 37.4°, intensity 41; 45.7°, intensity 33

Structural model:
Cell: 9.922 9.922 3.587 Å, 90.00 90.00 120.00°
Atoms (fractional coordinates):
Ho1 0.333 0.667 0.250
Ho2 0.667 0.333 0.750
Cl1 0.219 0.438 0.750
Cl2 0.219 0.781 0.750
Cl3 0.438 0.219 0.250
Cl4 0.562 0.781 0.750
Cl5 0.781 0.219 0.250
Cl6 0.781 0.562 0.250

***

K2HoCl5: theoretical powder X-ray diffraction pattern (Cu Kα), based on a crystal structure in the Materials Project, relaxed with GGA-PBE.
Lines closer than 0.1° are merged.

Largest 6 diffraction maxima, low angle first, 10° ≤ 2θ ≤ 90°:
12.9°, intensity 100; 13.6°, intensity 52; 23.2°, intensity 37; 24.6°, intensity 49; 31.3°, intensity 39; 33.5°, intensity 39

Structural model:
Cell: 13.063 8.526 8.058 Å, 90.00 90.00 90.00°
Atoms (fractional coordinates):
K1 0.174 0.001 0.034
K2 0.174 0.499 0.034
K3 0.326 0.501 0.534
K4 0.326 0.999 0.534
K5 0.674 0.001 0.466
K6 0.674 0.499 0.466
K7 0.826 0.501 0.966
K8 0.826 0.999 0.966
Ho1 0.002 0.750 0.572
Ho2 0.498 0.250 0.072
Ho3 0.502 0.750 0.928
Ho4 0.998 0.250 0.428
Cl1 0.014 0.750 0.908
Cl2 0.079 0.041 0.653
Cl3 0.079 0.459 0.653
Cl4 0.164 0.750 0.368
Cl5 0.195 0.250 0.332
Cl6 0.305 0.750 0.832
Cl7 0.336 0.250 0.868
Cl8 0.421 0.541 0.153
Cl9 0.421 0.959 0.153
Cl10 0.486 0.250 0.408
Cl11 0.514 0.750 0.592
Cl12 0.579 0.041 0.847
Cl13 0.579 0.459 0.847
Cl14 0.664 0.750 0.132
Cl15 0.695 0.250 0.168
Cl16 0.805 0.750 0.668
Cl17 0.836 0.250 0.632
Cl18 0.921 0.541 0.347
Cl19 0.921 0.959 0.347
Cl20 0.986 0.250 0.092

***

Rb2LiHoCl6: theoretical powder X-ray diffraction pattern (Cu Kα), based on a crystal structure in the Materials Project, relaxed with GGA-PBE.
Lines closer than 0.1° are merged.

Largest 6 diffraction maxima, low angle first, 10° ≤ 2θ ≤ 90°:
14.7°, intensity 70; 24.1°, intensity 100; 28.4°, intensity 47; 34.4°, intensity 87; 42.5°, intensity 47; 49.5°, intensity 59

Structural model:
Cell: 7.371 7.371 7.371 Å, 60.00 60.00 60.00°
Atoms (fractional coordinates):
Rb1 0.250 0.250 0.250
Rb2 0.750 0.750 0.750
Li1 0.000 0.000 0.000
Ho1 0.500 0.500 0.500
Cl1 0.248 0.248 0.752
Cl2 0.248 0.752 0.248
Cl3 0.248 0.752 0.752
Cl4 0.752 0.248 0.248
Cl5 0.752 0.248 0.752
Cl6 0.752 0.752 0.248

***

Na3HoCl6: theoretical powder X-ray diffraction pattern (Cu Kα), based on a crystal structure in the Materials Project, relaxed with GGA-PBE.
Lines closer than 0.1° are merged.

Largest 6 diffraction maxima, low angle first, 10° ≤ 2θ ≤ 90°:
14.9°, intensity 100; 15.5°, intensity 45; 17.6°, intensity 77; 24.7°, intensity 39; 29.8°, intensity 42; 39.2°, intensity 45

Structural model:
Cell: 6.918 7.314 12.306 Å, 90.00 123.44 90.00°
Atoms (fractional coordinates):
Na1 0.000 0.000 0.000
Na2 0.000 0.500 0.500
Na3 0.216 0.076 0.740
Na4 0.216 0.424 0.240
Na5 0.784 0.576 0.760
Na6 0.784 0.924 0.260
Ho1 0.500 0.000 0.500
Ho2 0.500 0.500 0.000
Cl1 0.123 0.178 0.436
Cl2 0.123 0.322 0.936
Cl3 0.253 0.696 0.421
Cl4 0.253 0.804 0.921
Cl5 0.400 0.065 0.262
Cl6 0.400 0.435 0.762
Cl7 0.600 0.565 0.238
Cl8 0.600 0.935 0.738
Cl9 0.747 0.196 0.079
Cl10 0.747 0.304 0.579
Cl11 0.877 0.678 0.064
Cl12 0.877 0.822 0.564

***

HoClO2: theoretical powder X-ray diffraction pattern (Cu Kα), based on a crystal structure in the Materials Project, relaxed with GGA-PBE.
Lines closer than 0.1° are merged.

Largest 6 diffraction maxima, low angle first, 10° ≤ 2θ ≤ 90°:
14.8°, intensity 58; 17.2°, intensity 65; 24.7°, intensity 67; 29.2°, intensity 58; 29.3°, intensity 46; 30.5°, intensity 100

Structural model:
Cell: 6.239 3.566 6.363 Å, 90.00 110.23 90.00°
Atoms (fractional coordinates):
Ho1 0.190 0.250 0.341
Ho2 0.810 0.750 0.659
Cl1 0.241 0.750 0.027
Cl2 0.759 0.250 0.973
O1 0.052 0.250 0.628
O2 0.421 0.750 0.560
O3 0.579 0.250 0.440
O4 0.948 0.750 0.372

***

Repeat the seventh record exactly.
HoClO2: theoretical powder X-ray diffraction pattern (Cu Kα), based on a crystal structure in the Materials Project, relaxed with GGA-PBE.
Lines closer than 0.1° are merged.

Largest 6 diffraction maxima, low angle first, 10° ≤ 2θ ≤ 90°:
14.8°, intensity 58; 17.2°, intensity 65; 24.7°, intensity 67; 29.2°, intensity 58; 29.3°, intensity 46; 30.5°, intensity 100

Structural model:
Cell: 6.239 3.566 6.363 Å, 90.00 110.23 90.00°
Atoms (fractional coordinates):
Ho1 0.190 0.250 0.341
Ho2 0.810 0.750 0.659
Cl1 0.241 0.750 0.027
Cl2 0.759 0.250 0.973
O1 0.052 0.250 0.628
O2 0.421 0.750 0.560
O3 0.579 0.250 0.440
O4 0.948 0.750 0.372